Starting from a cell relaxed with GGA-PBE, the powder diffractogram of MgB3H20N3 was simulated for Cu Kα, 1.54184 Å.
Lines closer than 0.1° are merged.

Main lines, low angle first (2θ from 10° to 90°):
(0 1 -1), 2θ 13.36, I = 37
(0 0 2), 2θ 18.82, I = 37
(0 2 0), 2θ 19.05, I = 30
(-1 1 1), 2θ 20.42, I = 100
(1 1 1), 2θ 20.51, I = 29
(-1 1 2), 2θ 26.22, I = 39
(1 1 2), 2θ 26.31, I = 34
(0 2 2), 2θ 26.90, I = 36

```
data_MgB3H20N3
_cell_length_a 5.752
_cell_length_b 9.317
_cell_length_c 9.430
_cell_angle_alpha 90.04
_cell_angle_beta 90.18
_cell_angle_gamma 90.29
_symmetry_space_group_name_H-M 'P 1'
_symmetry_Int_Tables_number 1
loop_
_symmetry_equiv_pos_as_xyz
'x,y,z'
loop_
_atom_site_label
_atom_site_type_symbol
_atom_site_fract_x
_atom_site_fract_y
_atom_site_fract_z
Mg1 Mg 0.000 0.000 0.000
Mg2 Mg 0.009 0.499 0.497
B1 B 0.204 0.667 0.368
B2 B 0.210 0.162 0.129
B3 B 0.217 0.348 0.640
B4 B 0.235 0.844 0.853
B5 B 0.638 0.517 0.001
B6 B 0.648 0.017 0.496
H1 H 0.006 0.332 0.656
H2 H 0.103 0.937 0.807
H3 H 0.157 0.728 0.816
H4 H 0.224 0.690 0.496
H5 H 0.238 0.172 0.999
H6 H 0.251 0.847 0.984
H7 H 0.266 0.476 0.661
H8 H 0.268 0.319 0.516
H9 H 0.272 0.582 0.974
H10 H 0.285 0.548 0.341
H11 H 0.286 0.087 0.518
H12 H 0.287 0.047 0.170
H13 H 0.297 0.416 0.039
H14 H 0.304 0.759 0.300
H15 H 0.305 0.262 0.189
H16 H 0.305 0.919 0.460
H17 H 0.322 0.272 0.722
H18 H 0.338 0.447 0.869
H19 H 0.349 0.956 0.629
H20 H 0.429 0.867 0.806
H21 H 0.574 0.075 0.904
H22 H 0.583 0.575 0.594
H23 H 0.654 0.556 0.124
H24 H 0.666 0.056 0.372
H25 H 0.689 0.917 0.197
H26 H 0.704 0.614 0.923
H27 H 0.706 0.425 0.289
H28 H 0.716 0.782 0.084
H29 H 0.718 0.289 0.402
H30 H 0.719 0.114 0.573
H31 H 0.735 0.220 0.913
H32 H 0.743 0.406 0.981
H33 H 0.749 0.904 0.515
H34 H 0.750 0.718 0.589
H35 H 0.757 0.111 0.777
H36 H 0.768 0.605 0.723
H37 H 0.913 0.811 0.205
H38 H 0.925 0.314 0.287
H39 H 0.995 0.665 0.340
H40 H 0.999 0.165 0.152
N1 N 0.367 0.489 0.969
N2 N 0.377 0.993 0.528
N3 N 0.738 0.113 0.885
N4 N 0.749 0.610 0.614
N5 N 0.806 0.863 0.135
N6 N 0.815 0.368 0.354
```